Entry 1:
For MgC4O6, a structure optimized by DFT (GGA-PBE) gives the theoretical X-ray diffraction stick pattern in this record (Cu Kα).

Structural model:
Cell lengths 7.8725, 7.8725, 7.3688 Å; angles 117.65, 117.65, 54.73 degrees
Positions (direct):
Mg  0.0000  0.5000  0.0000
Mg  0.5000  0.0000  0.5000
C  0.0219  0.2512  0.5548
C  0.0737  0.8434  0.6608
C  0.1566  0.9263  0.8392
C  0.2512  0.0219  0.0548
C  0.7488  0.9781  0.9452
C  0.8434  0.0737  0.1608
C  0.9263  0.1566  0.3392
C  0.9781  0.7488  0.4452
O  0.0846  0.6545  0.3129
O  0.2094  0.2312  0.5947
O  0.2312  0.2094  0.0947
O  0.2463  0.4783  0.9221
O  0.3455  0.9154  0.1871
O  0.4783  0.2463  0.4221
O  0.5217  0.7537  0.5779
O  0.6545  0.0846  0.8129
O  0.7537  0.5217  0.0779
O  0.7688  0.7906  0.9053
O  0.7906  0.7688  0.4053
O  0.9154  0.3455  0.6871

Most intense lines, 2θ = 10–80°, sorted by position:
d/Å, 2θ/deg, I/Imax
6.186, 14.32, 41.0
5.961, 14.86, 66.9
5.163, 17.17, 17.3
3.896, 22.82, 88.1
3.162, 28.22, 27.4
3.133, 28.49, 100.0
2.366, 38.04, 20.6
2.323, 38.76, 30.8



Entry 2:
For AlO2, a structure optimized by DFT (GGA-PBE) gives the theoretical X-ray diffraction stick pattern in this record (Cu Kα).

Structural model:
Cell lengths 4.0378, 4.6059, 2.9063 Å; angles 90.00, 90.00, 90.00 degrees
Positions (direct):
Al  0.0000  0.0000  0.0000
Al  0.5000  0.5000  0.5000
O  0.2347  0.3555  0.0000
O  0.2653  0.8555  0.5000
O  0.7347  0.1445  0.5000
O  0.7653  0.6445  0.0000

Most intense lines, 2θ = 10–80°, sorted by position:
d/Å, 2θ/deg, I/Imax
3.036, 29.42, 100.0
2.359, 38.15, 69.7
2.100, 43.08, 65.2
2.000, 45.33, 40.8
1.648, 55.79, 34.3
1.560, 59.23, 77.5
1.453, 64.08, 22.8
1.358, 69.21, 32.0



Entry 3:
For Sc2Cu2O5, a structure optimized by DFT (GGA-PBE) gives the theoretical X-ray diffraction stick pattern in this record (Cu Kα).

Structural model:
Cell lengths 5.6792, 3.4200, 5.9089 Å; angles 90.00, 106.94, 90.00 degrees
Positions (direct):
Sc  0.0000  0.0000  0.0000
Sc  0.4849  0.5000  0.9479
Cu  0.0056  0.5000  0.4643
Cu  0.4835  0.0000  0.4610
O  0.0973  0.5000  0.8008
O  0.1146  0.0000  0.4278
O  0.3959  0.0000  0.1324
O  0.6141  0.0000  0.7867
O  0.8609  0.5000  0.1364

Most intense lines, 2θ = 10–80°, sorted by position:
d/Å, 2θ/deg, I/Imax
2.826, 31.66, 40.1
2.756, 32.49, 100.0
2.716, 32.97, 49.9
2.428, 37.03, 28.7
1.710, 53.59, 18.4
1.705, 53.78, 26.7
1.656, 55.50, 30.9
1.446, 64.42, 21.2



Entry 4:
For H8PtO6, a structure optimized by DFT (GGA-PBE) gives the theoretical X-ray diffraction stick pattern in this record (Cu Kα).

Structural model:
Cell lengths 5.5610, 5.6788, 7.3447 Å; angles 89.22, 85.14, 81.38 degrees
Positions (direct):
H  0.0000  0.0000  0.0000
H  0.0078  0.7314  0.8508
H  0.0810  0.0578  0.6944
H  0.2240  0.7768  0.4416
H  0.3236  0.3465  0.0612
H  0.3377  0.7931  0.2000
H  0.3619  0.4298  0.5930
H  0.4166  0.1980  0.3342
H  0.4988  0.1166  0.8329
H  0.6056  0.5517  0.4925
H  0.6199  0.6486  0.1832
H  0.6342  0.0191  0.5623
H  0.7164  0.0819  0.1001
H  0.8481  0.4018  0.9349
H  0.9066  0.6262  0.3620
H  0.9442  0.3375  0.6904
Pt  0.4699  0.6717  0.8543
Pt  0.9684  0.1687  0.3547
O  0.0638  0.2062  0.6136
O  0.1190  0.8536  0.8658
O  0.1346  0.8262  0.3332
O  0.2800  0.3006  0.2754
O  0.3472  0.3623  0.9234
O  0.4315  0.5809  0.5908
O  0.5075  0.7669  0.1145
O  0.6041  0.9729  0.7732
O  0.6505  0.0470  0.4248
O  0.7848  0.5116  0.3617
O  0.8233  0.5125  0.8307
O  0.8788  0.1356  0.0915

Most intense lines, 2θ = 10–80°, sorted by position:
d/Å, 2θ/deg, I/Imax
4.573, 19.41, 52.7
4.455, 19.93, 100.0
4.251, 20.90, 48.9
4.220, 21.05, 42.0
3.659, 24.33, 73.7
2.301, 39.15, 15.1
2.268, 39.75, 18.1
2.238, 40.31, 19.0



Entry 5:
For CaZr2PbO6, a structure optimized by DFT (GGA-PBE) gives the theoretical X-ray diffraction stick pattern in this record (Cu Kα).

Structural model:
Cell lengths 8.2789, 8.2816, 8.2910 Å; angles 89.84, 89.68, 89.71 degrees
Positions (direct):
Ca  0.0000  0.0000  0.0000
Ca  0.0062  0.5121  0.4867
Ca  0.4874  0.5138  0.0004
Ca  0.5037  0.0094  0.9853
Zr  0.2291  0.7507  0.7330
Zr  0.2316  0.2492  0.7288
Zr  0.2374  0.7492  0.2317
Zr  0.2422  0.2429  0.2248
Zr  0.7292  0.7414  0.7405
Zr  0.7350  0.7421  0.2354
Zr  0.7368  0.2495  0.7386
Zr  0.7398  0.2408  0.2254
Pb  0.0062  0.5119  0.0002
Pb  0.4975  0.4968  0.4909
Pb  0.5048  0.0140  0.5038
Pb  0.9846  0.0088  0.4966
O  0.1702  0.9999  0.7641
O  0.1797  0.4907  0.2576
O  0.1795  0.7658  0.4769
O  0.2088  0.2875  0.9720
O  0.2452  0.4986  0.6802
O  0.2613  0.6871  0.9783
O  0.2701  0.9894  0.1624
O  0.2716  0.2141  0.4719
O  0.4737  0.7910  0.7107
O  0.4796  0.1920  0.7586
O  0.4802  0.6852  0.2519
O  0.4900  0.2731  0.1646
O  0.6685  0.4891  0.7765
O  0.6741  0.7723  0.9864
O  0.6898  0.2632  0.4775
O  0.6981  0.9870  0.2654
O  0.7535  0.9911  0.6866
O  0.7641  0.6844  0.4866
O  0.7691  0.1742  0.9745
O  0.7730  0.4867  0.2027
O  0.9738  0.7215  0.7757
O  0.9764  0.2853  0.6692
O  0.9817  0.7748  0.1757
O  0.9897  0.1891  0.2375

Most intense lines, 2θ = 10–80°, sorted by position:
d/Å, 2θ/deg, I/Imax
5.859, 15.12, 26.1
2.935, 30.45, 100.0
2.922, 30.59, 94.7
2.071, 43.71, 53.5
1.697, 54.03, 18.8
1.690, 54.27, 27.9
1.688, 54.34, 30.4
1.468, 63.37, 14.1



Entry 6:
For CaBi3O7, a structure optimized by DFT (GGA-PBE) gives the theoretical X-ray diffraction stick pattern in this record (Cu Kα).

Structural model:
Cell lengths 11.2288, 11.1914, 5.7470 Å; angles 90.00, 90.00, 90.00 degrees
Positions (direct):
Ca  0.1441  0.2500  0.1826
Ca  0.3559  0.7500  0.6826
Ca  0.6441  0.2500  0.3174
Ca  0.8559  0.7500  0.8174
Bi  0.1334  0.0087  0.6423
Bi  0.1334  0.4913  0.6423
Bi  0.1477  0.7500  0.1787
Bi  0.3523  0.2500  0.6787
Bi  0.3666  0.5087  0.1423
Bi  0.3666  0.9913  0.1423
Bi  0.6334  0.0087  0.8577
Bi  0.6334  0.4913  0.8577
Bi  0.6477  0.7500  0.3213
Bi  0.8523  0.2500  0.8213
Bi  0.8666  0.5087  0.3577
Bi  0.8666  0.9913  0.3577
O  0.0340  0.2500  0.8274
O  0.0380  0.0850  0.3398
O  0.0380  0.4150  0.3398
O  0.2171  0.6251  0.9356
O  0.2171  0.8749  0.9356
O  0.2235  0.6272  0.4277
O  0.2235  0.8728  0.4277
O  0.2765  0.1272  0.9277
O  0.2765  0.3728  0.9277
O  0.2829  0.1251  0.4356
O  0.2829  0.3749  0.4356
O  0.4620  0.5850  0.8398
O  0.4620  0.9150  0.8398
O  0.4660  0.7500  0.3274
O  0.5340  0.2500  0.6726
O  0.5380  0.0850  0.1602
O  0.5380  0.4150  0.1602
O  0.7171  0.6251  0.5644
O  0.7171  0.8749  0.5644
O  0.7235  0.6272  0.0723
O  0.7235  0.8728  0.0723
O  0.7765  0.1272  0.5723
O  0.7765  0.3728  0.5723
O  0.7829  0.1251  0.0644
O  0.7829  0.3749  0.0644
O  0.9620  0.5850  0.6602
O  0.9620  0.9150  0.6602
O  0.9660  0.7500  0.1726

Most intense lines, 2θ = 10–80°, sorted by position:
d/Å, 2θ/deg, I/Imax
5.113, 17.34, 21.6
3.776, 23.56, 35.0
3.263, 27.33, 100.0
2.798, 31.99, 21.0
2.784, 32.15, 18.8
2.736, 32.73, 20.2
1.982, 45.79, 19.7
1.973, 45.99, 22.6



Entry 7:
For Li2TlAu, a structure optimized by DFT (GGA-PBE) gives the theoretical X-ray diffraction stick pattern in this record (Cu Kα).

Structural model:
Cell lengths 6.6743, 6.6743, 6.6743 Å; angles 90.00, 90.00, 90.00 degrees
Positions (direct):
Li  0.0000  0.0000  0.0000
Li  0.0000  0.5000  0.5000
Li  0.2500  0.2500  0.2500
Li  0.2500  0.7500  0.7500
Li  0.5000  0.0000  0.5000
Li  0.5000  0.5000  0.0000
Li  0.7500  0.2500  0.7500
Li  0.7500  0.7500  0.2500
Tl  0.2500  0.2500  0.7500
Tl  0.2500  0.7500  0.2500
Tl  0.7500  0.2500  0.2500
Tl  0.7500  0.7500  0.7500
Au  0.0000  0.0000  0.5000
Au  0.0000  0.5000  0.0000
Au  0.5000  0.0000  0.0000
Au  0.5000  0.5000  0.5000

Most intense lines, 2θ = 10–80°, sorted by position:
d/Å, 2θ/deg, I/Imax
3.853, 23.08, 100.0
2.360, 38.14, 93.4
2.012, 45.05, 53.1
1.669, 55.04, 16.4
1.531, 60.46, 22.4
1.362, 68.92, 33.7
1.284, 73.77, 16.9



Entry 8:
For LuMgPd2, a structure optimized by DFT (GGA-PBE) gives the theoretical X-ray diffraction stick pattern in this record (Cu Kα).

Structural model:
Cell lengths 6.6671, 6.6671, 6.6671 Å; angles 90.00, 90.00, 90.00 degrees
Positions (direct):
Lu  0.0000  0.0000  0.0000
Lu  0.0000  0.5000  0.5000
Lu  0.5000  0.0000  0.5000
Lu  0.5000  0.5000  0.0000
Mg  0.0000  0.0000  0.5000
Mg  0.0000  0.5000  0.0000
Mg  0.5000  0.0000  0.0000
Mg  0.5000  0.5000  0.5000
Pd  0.2500  0.2500  0.2500
Pd  0.2500  0.2500  0.7500
Pd  0.2500  0.7500  0.2500
Pd  0.2500  0.7500  0.7500
Pd  0.7500  0.2500  0.2500
Pd  0.7500  0.2500  0.7500
Pd  0.7500  0.7500  0.2500
Pd  0.7500  0.7500  0.7500

Most intense lines, 2θ = 10–80°, sorted by position:
d/Å, 2θ/deg, I/Imax
3.849, 23.11, 30.2
2.357, 38.18, 100.0
2.010, 45.10, 15.9
1.667, 55.10, 17.1
1.530, 60.53, 6.7
1.361, 69.01, 34.5
1.283, 73.86, 5.1



Entry 9:
For ZrNb2VC4, a structure optimized by DFT (GGA-PBE) gives the theoretical X-ray diffraction stick pattern in this record (Cu Kα).

Structural model:
Cell lengths 10.4758, 10.4758, 10.4758 Å; angles 17.42, 17.42, 17.42 degrees
Positions (direct):
Zr  0.0000  0.0000  0.0000
Nb  0.5061  0.5061  0.5061
Nb  0.7548  0.7548  0.7548
V  0.2509  0.2509  0.2509
C  0.1303  0.1303  0.1303
C  0.3796  0.3796  0.3796
C  0.6213  0.6213  0.6213
C  0.8813  0.8813  0.8813

Most intense lines, 2θ = 10–80°, sorted by position:
d/Å, 2θ/deg, I/Imax
2.589, 34.65, 94.7
2.579, 34.79, 30.4
2.240, 40.27, 100.0
1.586, 58.17, 32.2
1.581, 58.35, 29.5
1.351, 69.56, 36.4
1.348, 69.76, 11.2
1.294, 73.11, 15.3



Entry 10:
For Lu7Te2Ru2, a structure optimized by DFT (GGA-PBE) gives the theoretical X-ray diffraction stick pattern in this record (Cu Kα).

Structural model:
Cell lengths 9.1922, 9.1922, 9.1922 Å; angles 155.64, 65.80, 119.93 degrees
Positions (direct):
Lu  0.0000  0.0000  0.0000
Lu  0.0583  0.3724  0.6860
Lu  0.0853  0.7330  0.3522
Lu  0.3808  0.7330  0.6478
Lu  0.4476  0.5821  0.8655
Lu  0.6864  0.3724  0.3140
Lu  0.7166  0.5821  0.1345
Te  0.3375  0.3375  0.0000
Te  0.7354  0.2354  0.5000
Ru  0.3076  0.0705  0.2371
Ru  0.8333  0.0705  0.7629

Most intense lines, 2θ = 10–80°, sorted by position:
d/Å, 2θ/deg, I/Imax
2.912, 30.70, 48.9
2.635, 34.03, 64.4
2.622, 34.19, 100.0
2.570, 34.91, 69.4
2.406, 37.38, 21.9
2.297, 39.21, 22.6
1.940, 46.84, 29.7
1.562, 59.15, 26.6



Entry 11:
For SnTe, a structure optimized by DFT (GGA-PBE) gives the theoretical X-ray diffraction stick pattern in this record (Cu Kα).

Structural model:
Cell lengths 3.9047, 3.9047, 3.9047 Å; angles 90.00, 90.00, 90.00 degrees
Positions (direct):
Sn  0.0000  0.0000  0.0000
Te  0.5000  0.5000  0.5000

Most intense lines, 2θ = 10–80°, sorted by position:
d/Å, 2θ/deg, I/Imax
2.761, 32.43, 100.0
1.952, 46.52, 18.4
1.594, 57.84, 38.8
1.381, 67.89, 12.1
1.235, 77.27, 17.0



Entry 12:
For TiRh3, a structure optimized by DFT (GGA-PBE) gives the theoretical X-ray diffraction stick pattern in this record (Cu Kα).

Structural model:
Cell lengths 3.8617, 3.8617, 3.8617 Å; angles 90.00, 90.00, 90.00 degrees
Positions (direct):
Ti  0.0000  0.0000  0.0000
Rh  0.0000  0.5000  0.5000
Rh  0.5000  0.0000  0.5000
Rh  0.5000  0.5000  0.0000

Most intense lines, 2θ = 10–80°, sorted by position:
d/Å, 2θ/deg, I/Imax
3.862, 23.03, 8.3
2.731, 32.80, 6.9
2.230, 40.46, 100.0
1.931, 47.06, 48.0
1.727, 53.03, 3.7
1.577, 58.55, 2.8
1.365, 68.76, 29.8
1.287, 73.58, 1.8